Ce2W3O12: computed powder XRD pattern (Cu Kα, 1.54184 Å), based on the GGA+U geometry in the Materials Project.
No peak broadening, texture or thermal motion is included.

Cell and atoms:
Cell: 7.1401 7.1401 11.7406 Å, 100.91 100.91 111.95°
Sites, in units of the cell vectors:
Ce1 0.0426 0.2879 0.0949
Ce2 0.2879 0.0426 0.5949
Ce3 0.7121 0.9574 0.4051
Ce4 0.9574 0.7121 0.9051
W1 0.1344 0.8656 0.2500
W2 0.2527 0.4596 0.4535
W3 0.4596 0.2527 0.9535
W4 0.5404 0.7473 0.0465
W5 0.7473 0.5404 0.5465
W6 0.8656 0.1344 0.7500
O1 0.0819 0.6623 0.1094
O2 0.0844 0.1885 0.4604
O3 0.1108 0.4546 0.3044
O4 0.1162 0.2069 0.7189
O5 0.1885 0.0844 0.9604
O6 0.2069 0.1162 0.2189
O7 0.2312 0.6597 0.5596
O8 0.3377 0.9181 0.3906
O9 0.3403 0.7688 0.9404
O10 0.3964 0.4719 0.0710
O11 0.4546 0.1108 0.8044
O12 0.4719 0.3964 0.5710
O13 0.5281 0.6036 0.4290
O14 0.5454 0.8892 0.1956
O15 0.6036 0.5281 0.9290
O16 0.6597 0.2312 0.0596
O17 0.6623 0.0819 0.6094
O18 0.7688 0.3403 0.4404
O19 0.7931 0.8838 0.7811
O20 0.8115 0.9156 0.0396
O21 0.8838 0.7931 0.2811
O22 0.8892 0.5454 0.6956
O23 0.9156 0.8115 0.5396
O24 0.9181 0.3377 0.8906

Main lines, by angle (5 to 70 degrees two-theta):
2θ (°)  d (Å)  Rel. int.
16.04  5.524  16.3
18.02  4.924  30.1
24.21  3.676  30.8
26.93  3.311  100.0
28.55  3.127  67.8
30.21  2.959  27.1
33.08  2.708  31.1
45.40  1.998  54.8
47.29  1.922  13.8
51.67  1.769  14.9